Structure and calculated powder X-ray diffraction pattern of Sr2MnCrN4 (a structure optimized by DFT (GGA-PBE); Cu Kα X-rays).
Intensities are scaled so that the largest is 100.

Structure:
a = 5.6072 Å, b = 6.7106 Å, c = 6.0597 Å
α = 90.00°, β = 90.00°, γ = 90.00°
Space group Pmmn (No. 59, origin choice 2)
Asymmetric unit:
Sr 0.2500 0.0002 0.2429
Mn 0.2500 0.2500 0.6864
Cr 0.2500 0.7500 0.6812
N 0.0008 0.7500 0.4970
N 0.2500 0.5016 0.8176

Principal peaks in the range 15 to 90 degrees two-theta, sorted by position:
- 2θ = 29.5°, d 3.030, I 35
- 2θ = 31.9°, d 2.804, I 40
- 2θ = 34.5°, d 2.601, I 100
- 2θ = 40.1°, d 2.249, I 11
- 2θ = 44.0°, d 2.058, I 33
- 2θ = 54.7°, d 1.678, I 11
- 2θ = 55.6°, d 1.654, I 16
- 2θ = 58.5°, d 1.577, I 21
- 2θ = 64.8°, d 1.440, I 10
- 2θ = 72.7°, d 1.300, I 13